This entry pairs a crystal structure of Er3GeB2Pt9 with its calculated X-ray powder pattern. Radiation: λ = 1.5418 Å (Cu Kα). Structure: the PBE geometry in Alexandria.

Cell lengths 5.7145, 5.7145, 9.1890 Å; angles 90.00, 90.00, 120.00 degrees
Fractional coordinates of all 15 atoms:
Er (0.0000, 0.0000, 0.0000)
Er (0.3333, 0.6667, 0.6018)
Er (0.6667, 0.3333, 0.3982)
Ge (0.0000, 0.0000, 0.5000)
B (0.3333, 0.6667, 0.1494)
B (0.6667, 0.3333, 0.8506)
Pt (0.0000, 0.5000, 0.0000)
Pt (0.1655, 0.3310, 0.2907)
Pt (0.1655, 0.8345, 0.2907)
Pt (0.3310, 0.1655, 0.7093)
Pt (0.5000, 0.0000, 0.0000)
Pt (0.5000, 0.5000, 0.0000)
Pt (0.6690, 0.8345, 0.2907)
Pt (0.8345, 0.1655, 0.7093)
Pt (0.8345, 0.6690, 0.7093)

Largest 10 diffraction maxima, by angle, 5° ≤ 2θ ≤ 70°:
2θ 29.2, I = 37.0, (0 0 3); 2θ 34.4, I = 14.8, (0 1 3); 2θ 37.1, I = 10.9, (1 1 2); 2θ 37.6, I = 100.0, (0 2 1); 2θ 39.2, I = 8.8, (0 0 4); 2θ 41.4, I = 79.4, (2 0 2); 2θ 43.4, I = 8.6, (0 1 4); 2θ 54.5, I = 15.0, (0 2 4); 2θ 63.0, I = 12.6, (0 2 5); 2θ 65.3, I = 25.2, (2 2 0)